Starting from a cell relaxed with PBE, the PXRD pattern of CsNa2Br3 was simulated for Cu Ka.
No peak broadening, texture or thermal motion is included.

Structure:
```
CsNa2Br3
1.0
2.426 -7.943 0.000
2.426 7.943 0.000
0.000 0.000 11.174
Cs Na Br
2 4 6
Cartesian
2.426 4.020 8.380
2.426 -4.020 2.793
0.000 0.000 0.000
0.000 0.000 5.587
2.426 0.232 2.793
2.426 -0.232 8.380
2.426 6.797 2.793
2.426 1.930 0.579
2.426 1.930 5.008
2.426 -1.930 6.166
2.426 -1.930 10.595
2.426 -6.797 8.380
```

Principal peaks in the range 10 to 90 degrees two-theta, in order of rising 2θ:
| two_theta | d_spacing | I_rel |
| --- | --- | --- |
| 24.9 | 3.572 | 38 |
| 26.2 | 3.407 | 100 |
| 26.4 | 3.372 | 27 |
| 27.6 | 3.237 | 38 |
| 30.8 | 2.905 | 34 |
| 32.0 | 2.793 | 21 |
| 37.1 | 2.426 | 27 |
| 37.5 | 2.400 | 21 |
| 46.8 | 1.942 | 17 |
| 48.0 | 1.895 | 32 |